(1)
The following is a calculated XRD peak list of PrPu2Os. It was derived from the PBE geometry in Alexandria, using Cu Kα, 1.54184 Å.
Peak positions follow from Bragg's law for the DFT cell and can differ from measured ones.

Structural model:
a b c (Å): 15.0674 9.1093 6.0933
angles (deg): 90.00 90.00 90.00
Positions (direct):
Pr 0.1083 0.2500 0.2323
Pr 0.1415 0.7500 0.9836
Pr 0.3585 0.2500 0.4836
Pr 0.3917 0.7500 0.7323
Pr 0.6083 0.2500 0.2677
Pr 0.6415 0.7500 0.5164
Pr 0.8585 0.2500 0.0164
Pr 0.8917 0.7500 0.7677
Pu 0.0378 0.0579 0.7373
Pu 0.0378 0.4421 0.7373
Pu 0.2131 0.5591 0.4601
Pu 0.2131 0.9409 0.4601
Pu 0.2869 0.0591 0.9601
Pu 0.2869 0.4409 0.9601
Pu 0.4622 0.5579 0.2373
Pu 0.4622 0.9421 0.2373
Pu 0.5378 0.0579 0.7627
Pu 0.5378 0.4421 0.7627
Pu 0.7131 0.5591 0.0399
Pu 0.7131 0.9409 0.0399
Pu 0.7869 0.0591 0.5399
Pu 0.7869 0.4409 0.5399
Pu 0.9622 0.5579 0.2627
Pu 0.9622 0.9421 0.2627
Os 0.0710 0.7500 0.5007
Os 0.1792 0.2500 0.7272
Os 0.3209 0.7500 0.2272
Os 0.4290 0.2500 0.0007
Os 0.5710 0.7500 0.9993
Os 0.6792 0.2500 0.7728
Os 0.8208 0.7500 0.2728
Os 0.9290 0.2500 0.4993

Largest 12 diffraction maxima, by angle, 10° ≤ 2θ ≤ 90°:
Position (°2θ)	I/Imax
30.80	60.6
31.68	36.8
33.20	100.0
33.51	32.3
34.22	58.1
35.10	26.8
37.47	72.5
37.63	28.3
38.07	52.7
38.77	31.8
56.32	27.9
60.47	28.6

(2)
The following is a calculated XRD peak list of CaO. It was derived from the PBE geometry in Alexandria, using Cu Kα, 1.54184 Å.
Peak positions follow from Bragg's law for the DFT cell and can differ from measured ones.

Structural model:
a b c (Å): 6.2671 6.2671 3.8218
angles (deg): 90.00 90.00 90.00
Positions (direct):
Ca 0.1843 0.1843 0.0000
Ca 0.3157 0.6843 0.5000
Ca 0.6843 0.3157 0.5000
Ca 0.8157 0.8157 0.0000
O 0.1804 0.8196 0.0000
O 0.3196 0.3196 0.5000
O 0.6804 0.6804 0.5000
O 0.8196 0.1804 0.0000

Largest 12 diffraction maxima, by angle, 10° ≤ 2θ ≤ 90°:
Position (°2θ)	I/Imax
20.04	15.8
27.33	83.8
28.48	100.0
30.90	46.6
31.93	25.6
39.89	24.2
40.72	15.2
45.78	15.6
47.59	22.8
49.74	70.9
56.40	22.6
58.32	36.3

(3)
The following is a calculated XRD peak list of GdHoI. It was derived from the PBE geometry in Alexandria, using Cu Kα, 1.54184 Å.
Peak positions follow from Bragg's law for the DFT cell and can differ from measured ones.

Structural model:
a b c (Å): 7.4465 7.4465 7.4465
angles (deg): 151.36 151.36 40.96
Positions (direct):
Gd 0.0000 0.0000 0.0000
Ho 0.6697 0.6697 0.0000
I 0.3311 0.3311 0.0000

Largest 12 diffraction maxima, by angle, 10° ≤ 2θ ≤ 90°:
Position (°2θ)	I/Imax
30.97	100.0
34.43	37.8
38.72	13.6
49.48	13.5
52.77	22.2
59.52	31.1
64.54	12.1
65.30	11.6
80.97	6.5
82.86	6.1
85.43	5.7
86.13	11.1

(4)
The following is a calculated XRD peak list of CsIn4Ga. It was derived from the PBE geometry in Alexandria, using Cu Kα, 1.54184 Å.
Peak positions follow from Bragg's law for the DFT cell and can differ from measured ones.

Structural model:
a b c (Å): 5.2087 8.4829 10.9135
angles (deg): 112.65 103.79 90.14
Positions (direct):
Cs 0.2053 0.2051 0.4104
Cs 0.7947 0.7949 0.5896
In 0.0025 0.1830 0.0092
In 0.1375 0.6518 0.2740
In 0.4039 0.1687 0.8103
In 0.4042 0.6388 0.8078
In 0.5958 0.3612 0.1922
In 0.5961 0.8313 0.1897
In 0.8625 0.3482 0.7260
In 0.9975 0.8170 0.9908
Ga 0.2518 0.4996 0.0001
Ga 0.7482 0.5004 0.9999

Largest 12 diffraction maxima, by angle, 10° ≤ 2θ ≤ 90°:
Position (°2θ)	I/Imax
11.38	30.0
22.87	42.7
25.19	22.7
27.20	51.7
27.51	63.8
28.64	100.0
30.45	75.3
34.44	45.9
41.70	25.2
41.79	24.4
42.64	29.3
43.14	36.0